TbH9C5N2O8: simulated X-ray diffraction stick pattern (a wavelength of 1.5418 Å), based on a DFT-relaxed cell (PBE, Alexandria).

Peak list (8 most intense, 2θ from 5° to 70°, in order of rising 2θ)
Position (°2θ), I_rel
14.21, 44
14.66, 100
16.50, 31
17.79, 22
18.41, 50
22.35, 40
27.74, 29
29.61, 43

Cell and atoms:
a b c (Å): 6.7772 6.7772 6.6206
angles (deg): 106.52 106.52 65.24
Fractional positions:
Tb (0.0000, 0.0000, 0.0000)
H (0.1677, 0.4639, 0.1152)
H (0.2686, 0.4892, 0.5359)
H (0.3626, 0.2059, 0.4053)
H (0.5108, 0.7314, 0.4641)
H (0.5361, 0.8323, 0.8848)
H (0.5396, 0.4403, 0.8253)
H (0.5597, 0.4604, 0.1747)
H (0.7941, 0.6374, 0.5947)
H (0.9227, 0.0773, 0.5000)
C (0.0530, 0.4699, 0.9576)
C (0.0735, 0.9265, 0.5000)
C (0.5301, 0.9470, 0.0424)
C (0.5361, 0.2902, 0.7051)
C (0.7098, 0.4639, 0.2949)
N (0.3753, 0.3290, 0.5362)
N (0.6710, 0.6247, 0.4638)
O (0.0011, 0.6387, 0.8754)
O (0.1487, 0.8399, 0.6668)
O (0.1601, 0.8513, 0.3332)
O (0.3613, 0.9989, 0.1246)
O (0.6763, 0.1020, 0.7335)
O (0.6861, 0.0162, 0.1275)
O (0.8980, 0.3237, 0.2665)
O (0.9838, 0.3139, 0.8725)